Theoretical powder XRD pattern of Ti3SnH for Cu Ka, from a cell relaxed with PBE.
Neutral-atom scattering factors, no anomalous dispersion.

Most intense lines, 2θ from 5° to 70°, by angle:
d_spacing, 2θ/deg, Rel. int.
4.178, 21.3, 219
2.954, 30.3, 214
2.412, 37.3, 1000
2.089, 43.3, 493
1.868, 48.7, 120
1.477, 62.9, 310

Crystal structure
abc: 4.1776 4.1776 4.1776
angles: 90.00 90.00 90.00
Fractional positions:
Ti1 0.0000 0.0000 0.5000
Ti2 0.0000 0.5000 0.0000
Ti3 0.5000 0.0000 0.0000
Sn1 0.5000 0.5000 0.5000
H1 0.0000 0.0000 0.0000

---

Theoretical powder XRD pattern of SrH3 for Cu Ka, from a cell relaxed with PBE.
Neutral-atom scattering factors, no anomalous dispersion.

Most intense lines, 2θ from 5° to 70°, by angle:
d_spacing, 2θ/deg, Rel. int.
3.285, 27.1, 1000
2.845, 31.4, 514
2.011, 45.1, 418
1.715, 53.4, 457
1.642, 56.0, 132
1.422, 65.6, 65

Crystal structure
abc: 5.6891 5.6891 5.6891
angles: 90.00 90.00 90.00
Fractional positions:
Sr1 0.0000 0.0000 0.0000
Sr2 0.0000 0.5000 0.5000
Sr3 0.5000 0.0000 0.5000
Sr4 0.5000 0.5000 0.0000
H1 0.0000 0.0000 0.5000
H2 0.0000 0.5000 0.0000
H3 0.2500 0.2500 0.2500
H4 0.2500 0.2500 0.7500
H5 0.2500 0.7500 0.2500
H6 0.2500 0.7500 0.7500
H7 0.5000 0.0000 0.0000
H8 0.5000 0.5000 0.5000
H9 0.7500 0.2500 0.2500
H10 0.7500 0.2500 0.7500
H11 0.7500 0.7500 0.2500
H12 0.7500 0.7500 0.7500

---

Theoretical powder XRD pattern of TaH2 for Cu Ka, from a cell relaxed with PBE.
Neutral-atom scattering factors, no anomalous dispersion.

Most intense lines, 2θ from 5° to 70°, by angle:
d_spacing, 2θ/deg, Rel. int.
2.622, 34.2, 1000
2.270, 39.7, 487
1.605, 57.4, 352
1.369, 68.5, 407

Crystal structure
abc: 4.5407 4.5407 4.5407
angles: 90.00 90.00 90.00
Fractional positions:
Ta1 0.0000 0.0000 0.0000
Ta2 0.0000 0.5000 0.5000
Ta3 0.5000 0.0000 0.5000
Ta4 0.5000 0.5000 0.0000
H1 0.2500 0.2500 0.2500
H2 0.2500 0.2500 0.7500
H3 0.2500 0.7500 0.2500
H4 0.2500 0.7500 0.7500
H5 0.7500 0.2500 0.2500
H6 0.7500 0.2500 0.7500
H7 0.7500 0.7500 0.2500
H8 0.7500 0.7500 0.7500

---

Theoretical powder XRD pattern of Ta2H for Cu Ka, from a cell relaxed with PBE.
Neutral-atom scattering factors, no anomalous dispersion.

Most intense lines, 2θ from 5° to 70°, by angle:
d_spacing, 2θ/deg, Rel. int.
2.409, 37.3, 1000
2.396, 37.5, 490
1.713, 53.5, 88
1.694, 54.1, 175
1.394, 67.2, 180
1.386, 67.6, 357

Crystal structure
abc: 3.3881 3.3881 3.4265
angles: 90.00 90.00 90.00
Fractional positions:
Ta1 0.0000 0.5000 0.2398
Ta2 0.5000 0.0000 0.7602
H1 0.5000 0.5000 0.5000

---

Theoretical powder XRD pattern of Ta2H for Cu Ka, from a cell relaxed with PBE.
Neutral-atom scattering factors, no anomalous dispersion.

Most intense lines, 2θ from 5° to 70°, by angle:
d_spacing, 2θ/deg, Rel. int.
2.411, 37.3, 1000
2.401, 37.5, 239
2.381, 37.8, 242
1.691, 54.3, 168
1.388, 67.5, 167
1.380, 67.9, 176

Crystal structure
abc: 3.4384 4.7625 4.8026
angles: 90.00 90.00 90.00
Fractional positions:
Ta1 0.2500 0.2500 0.2352
Ta2 0.2500 0.7500 0.7648
Ta3 0.7500 0.2500 0.7648
Ta4 0.7500 0.7500 0.2352
H1 0.0000 0.5000 0.5000
H2 0.5000 0.0000 0.5000

---

Theoretical powder XRD pattern of Ta2H for Cu Ka, from a cell relaxed with PBE.
Neutral-atom scattering factors, no anomalous dispersion.

Most intense lines, 2θ from 5° to 70°, by angle:
d_spacing, 2θ/deg, Rel. int.
2.437, 36.9, 1000
2.418, 37.2, 324
2.301, 39.2, 593
1.830, 49.8, 131
1.429, 65.3, 128
1.353, 69.5, 214

Crystal structure
abc: 4.8715 3.2659 4.9078
angles: 90.00 96.94 90.00
Fractional positions:
Ta1 0.2346 0.0000 0.2630
Ta2 0.2654 0.5000 0.7370
Ta3 0.7346 0.5000 0.2630
Ta4 0.7654 0.0000 0.7370
H1 0.0000 0.5000 0.0000
H2 0.5000 0.0000 0.0000

---

Theoretical powder XRD pattern of TaVH4 for Cu Ka, from a cell relaxed with PBE.
Neutral-atom scattering factors, no anomalous dispersion.

Most intense lines, 2θ from 5° to 70°, by angle:
d_spacing, 2θ/deg, Rel. int.
5.068, 17.5, 418
2.652, 33.8, 264
2.538, 35.4, 1000
2.198, 41.1, 473
1.555, 59.4, 169
1.553, 59.5, 168

Crystal structure
abc: 5.3763 5.3763 5.3763
angles: 33.63 33.63 33.63
Fractional positions:
Ta1 0.0000 0.0000 0.0000
V1 0.5000 0.5000 0.5000
H1 0.1298 0.1298 0.1298
H2 0.3807 0.3807 0.3807
H3 0.6193 0.6193 0.6193
H4 0.8702 0.8702 0.8702

---

Theoretical powder XRD pattern of Tc3H for Cu Ka, from a cell relaxed with PBE.
Neutral-atom scattering factors, no anomalous dispersion.

Most intense lines, 2θ from 5° to 70°, by angle:
d_spacing, 2θ/deg, Rel. int.
3.413, 26.1, 284
2.956, 30.2, 146
2.090, 43.3, 1000
1.782, 51.3, 131
1.478, 62.9, 160
1.356, 69.3, 52

Crystal structure
abc: 5.9116 5.9116 5.9116
angles: 90.00 90.00 90.00
Fractional positions:
Tc1 0.0000 0.0000 0.0000
Tc2 0.0000 0.5000 0.5000
Tc3 0.2500 0.2500 0.2500
Tc4 0.2500 0.2500 0.7500
Tc5 0.2500 0.7500 0.2500
Tc6 0.2500 0.7500 0.7500
Tc7 0.5000 0.0000 0.5000
Tc8 0.5000 0.5000 0.0000
Tc9 0.7500 0.2500 0.2500
Tc10 0.7500 0.2500 0.7500
Tc11 0.7500 0.7500 0.2500
Tc12 0.7500 0.7500 0.7500
H1 0.0000 0.0000 0.5000
H2 0.0000 0.5000 0.0000
H3 0.5000 0.0000 0.0000
H4 0.5000 0.5000 0.5000

---

Theoretical powder XRD pattern of ThH2 for Cu Ka, from a cell relaxed with PBE.
Neutral-atom scattering factors, no anomalous dispersion.

Most intense lines, 2θ from 5° to 70°, by angle:
d_spacing, 2θ/deg, Rel. int.
3.169, 28.2, 1000
2.744, 32.6, 501
1.941, 46.8, 395
1.655, 55.5, 473
1.584, 58.2, 135
1.372, 68.4, 65

Crystal structure
abc: 5.4887 5.4887 5.4887
angles: 90.00 90.00 90.00
Fractional positions:
Th1 0.0000 0.0000 0.0000
Th2 0.0000 0.5000 0.5000
Th3 0.5000 0.0000 0.5000
Th4 0.5000 0.5000 0.0000
H1 0.2500 0.2500 0.2500
H2 0.2500 0.2500 0.7500
H3 0.2500 0.7500 0.2500
H4 0.2500 0.7500 0.7500
H5 0.7500 0.2500 0.2500
H6 0.7500 0.2500 0.7500
H7 0.7500 0.7500 0.2500
H8 0.7500 0.7500 0.7500

---

Theoretical powder XRD pattern of ThH3 for Cu Ka, from a cell relaxed with PBE.
Neutral-atom scattering factors, no anomalous dispersion.

Most intense lines, 2θ from 5° to 70°, by angle:
d_spacing, 2θ/deg, Rel. int.
3.290, 27.1, 289
3.108, 28.7, 1000
2.494, 36.0, 279
1.987, 45.7, 304
1.862, 48.9, 241
1.534, 60.4, 261

Crystal structure
abc: 3.5264 3.5264 6.5799
angles: 90.00 90.00 90.00
Fractional positions:
Th1 0.0000 0.0000 0.0000
Th2 0.5000 0.5000 0.5000
H1 0.0000 0.0000 0.5000
H2 0.0000 0.5000 0.2500
H3 0.0000 0.5000 0.7500
H4 0.5000 0.0000 0.2500
H5 0.5000 0.0000 0.7500
H6 0.5000 0.5000 0.0000

---

Theoretical powder XRD pattern of ThH2 for Cu Ka, from a cell relaxed with PBE.
Neutral-atom scattering factors, no anomalous dispersion.

Most intense lines, 2θ from 5° to 70°, by angle:
d_spacing, 2θ/deg, Rel. int.
3.141, 28.4, 1000
2.863, 31.2, 382
2.025, 44.8, 153
1.879, 48.5, 244
1.702, 53.9, 352
1.571, 58.8, 134

Crystal structure
abc: 4.0495 4.0495 4.9783
angles: 90.00 90.00 90.00
Fractional positions:
Th1 0.0000 0.0000 0.0000
Th2 0.5000 0.5000 0.5000
H1 0.0000 0.5000 0.2500
H2 0.0000 0.5000 0.7500
H3 0.5000 0.0000 0.2500
H4 0.5000 0.0000 0.7500

---

Theoretical powder XRD pattern of ThZr2H7 for Cu Ka, from a cell relaxed with PBE.
Neutral-atom scattering factors, no anomalous dispersion.

Most intense lines, 2θ from 5° to 70°, by angle:
d_spacing, 2θ/deg, Rel. int.
3.307, 27.0, 588
2.820, 31.7, 1000
2.700, 33.2, 166
1.909, 47.6, 261
1.800, 50.7, 362
1.654, 55.6, 283

Crystal structure
abc: 6.6141 6.6141 6.6141
angles: 60.00 60.00 60.00
Fractional positions:
Th1 0.1250 0.1250 0.1250
Th2 0.8750 0.8750 0.8750
Zr1 0.0000 0.5000 0.5000
Zr2 0.5000 0.0000 0.5000
Zr3 0.5000 0.5000 0.0000
Zr4 0.5000 0.5000 0.5000
H1 0.1232 0.1232 0.6268
H2 0.1232 0.6268 0.1232
H3 0.1232 0.6268 0.6268
H4 0.3732 0.3732 0.8768
H5 0.3732 0.8768 0.3732
H6 0.3732 0.8768 0.8768
H7 0.3750 0.3750 0.3750
H8 0.6250 0.6250 0.6250
H9 0.6268 0.1232 0.1232
H10 0.6268 0.1232 0.6268
H11 0.6268 0.6268 0.1232
H12 0.8768 0.3732 0.3732
H13 0.8768 0.3732 0.8768
H14 0.8768 0.8768 0.3732

---

Theoretical powder XRD pattern of Ti4H7 for Cu Ka, from a cell relaxed with PBE.
Neutral-atom scattering factors, no anomalous dispersion.

Most intense lines, 2θ from 5° to 70°, by angle:
d_spacing, 2θ/deg, Rel. int.
2.544, 35.3, 1000
2.203, 41.0, 434
1.558, 59.3, 303

Crystal structure
abc: 4.4059 4.4059 4.4059
angles: 90.00 90.00 90.00
Fractional positions:
Ti1 0.2457 0.2457 0.7543
Ti2 0.2457 0.7543 0.2457
Ti3 0.7543 0.2457 0.2457
Ti4 0.7543 0.7543 0.7543
H1 0.0000 0.0000 0.5000
H2 0.0000 0.5000 0.0000
H3 0.0000 0.5000 0.5000
H4 0.5000 0.0000 0.0000
H5 0.5000 0.0000 0.5000
H6 0.5000 0.5000 0.0000
H7 0.5000 0.5000 0.5000

---

Theoretical powder XRD pattern of Ti2H for Cu Ka, from a cell relaxed with PBE.
Neutral-atom scattering factors, no anomalous dispersion.

Most intense lines, 2θ from 5° to 70°, by angle:
d_spacing, 2θ/deg, Rel. int.
2.446, 36.7, 1000
2.119, 42.7, 462
1.498, 61.9, 284

Crystal structure
abc: 4.2370 4.2370 4.2370
angles: 90.00 90.00 90.00
Fractional positions:
Ti1 0.0000 0.0000 0.0000
Ti2 0.0000 0.5000 0.5000
Ti3 0.5000 0.0000 0.5000
Ti4 0.5000 0.5000 0.0000
H1 0.2500 0.2500 0.2500
H2 0.7500 0.7500 0.7500

---

Theoretical powder XRD pattern of U2TiH3 for Cu Ka, from a cell relaxed with PBE.
Neutral-atom scattering factors, no anomalous dispersion.

Most intense lines, 2θ from 5° to 70°, by angle:
d_spacing, 2θ/deg, Rel. int.
4.098, 21.7, 521
3.690, 24.1, 672
2.742, 32.7, 895
2.366, 38.0, 1000
1.992, 45.5, 818
1.455, 64.0, 451

Crystal structure
abc: 4.7320 4.7320 3.6901
angles: 90.00 90.00 120.00
Fractional positions:
U1 0.3333 0.6667 0.0000
U2 0.6667 0.3333 0.0000
Ti1 0.0000 0.0000 0.5000
H1 0.0000 0.5000 0.5000
H2 0.5000 0.0000 0.5000
H3 0.5000 0.5000 0.5000

---

Theoretical powder XRD pattern of TmH2 for Cu Ka, from a cell relaxed with PBE.
Neutral-atom scattering factors, no anomalous dispersion.

Most intense lines, 2θ from 5° to 70°, by angle:
d_spacing, 2θ/deg, Rel. int.
2.936, 30.4, 1000
2.543, 35.3, 490
1.798, 50.8, 373
1.533, 60.4, 435
1.468, 63.3, 123

Crystal structure
abc: 5.0859 5.0859 5.0859
angles: 90.00 90.00 90.00
Fractional positions:
Tm1 0.0000 0.0000 0.0000
Tm2 0.0000 0.5000 0.5000
Tm3 0.5000 0.0000 0.5000
Tm4 0.5000 0.5000 0.0000
H1 0.2500 0.2500 0.2500
H2 0.2500 0.2500 0.7500
H3 0.2500 0.7500 0.2500
H4 0.2500 0.7500 0.7500
H5 0.7500 0.2500 0.2500
H6 0.7500 0.2500 0.7500
H7 0.7500 0.7500 0.2500
H8 0.7500 0.7500 0.7500